[1]
Diffraction record for MnSnO3. The XRD peak list is calculated, not measured: it uses the GGA+U geometry in the Materials Project and Cu Ka.
Peak positions follow from Bragg's law for the DFT cell and can differ from measured ones.

Structural model:
Lattice parameters (Å, degrees): 5.7162 5.7162 5.7162 57.04 57.04 57.04
Fractional coordinates of all 10 atoms:
Mn (0.0000, 0.0000, 0.0000)
Mn (0.5000, 0.5000, 0.5000)
Sn (0.2164, 0.2164, 0.2164)
Sn (0.7164, 0.7164, 0.7164)
O (0.0929, 0.8329, 0.4280)
O (0.3329, 0.5929, 0.9280)
O (0.4280, 0.0929, 0.8329)
O (0.5929, 0.9280, 0.3329)
O (0.8329, 0.4280, 0.0929)
O (0.9280, 0.3329, 0.5929)

Largest 10 diffraction maxima, low angle first, 15 to 90 degrees two-theta:
d 3.944, I 59
d 2.852, I 100
d 2.729, I 86
d 1.972, I 44
d 1.796, I 41
d 1.673, I 14
d 1.598, I 40
d 1.576, I 30
d 1.369, I 12
d 1.231, I 14

=====

[2]
Diffraction record for CsFeH4Cl3O2. The XRD peak list is calculated, not measured: it uses the GGA+U geometry in the Materials Project and Cu Ka.
Peak positions follow from Bragg's law for the DFT cell and can differ from measured ones.

Structural model:
Lattice parameters (Å, degrees): 9.0584 7.3282 11.5942 90.00 90.00 90.00
Fractional coordinates of all 44 atoms:
Cs (0.2500, 0.0000, 0.1480)
Cs (0.2500, 0.0000, 0.6480)
Cs (0.7500, 0.0000, 0.3520)
Cs (0.7500, 0.0000, 0.8520)
Fe (0.0000, 0.4711, 0.2500)
Fe (0.0000, 0.5289, 0.7500)
Fe (0.5000, 0.4711, 0.7500)
Fe (0.5000, 0.5289, 0.2500)
H (0.0205, 0.3118, 0.9437)
H (0.0205, 0.6882, 0.4437)
H (0.1769, 0.3077, 0.8814)
H (0.1769, 0.6923, 0.3814)
H (0.3231, 0.3077, 0.3814)
H (0.3231, 0.6923, 0.8814)
H (0.4795, 0.3118, 0.4437)
H (0.4795, 0.6882, 0.9437)
H (0.5205, 0.3118, 0.0563)
H (0.5205, 0.6882, 0.5563)
H (0.6769, 0.3077, 0.1186)
H (0.6769, 0.6923, 0.6186)
H (0.8231, 0.3077, 0.6186)
H (0.8231, 0.6923, 0.1186)
H (0.9795, 0.3118, 0.5563)
H (0.9795, 0.6882, 0.0563)
Cl (0.0887, 0.2310, 0.3898)
Cl (0.0887, 0.7690, 0.8898)
Cl (0.2500, 0.5000, 0.1525)
Cl (0.2500, 0.5000, 0.6525)
Cl (0.4113, 0.2310, 0.8898)
Cl (0.4113, 0.7690, 0.3898)
Cl (0.5887, 0.2310, 0.6102)
Cl (0.5887, 0.7690, 0.1102)
Cl (0.7500, 0.5000, 0.3475)
Cl (0.7500, 0.5000, 0.8475)
Cl (0.9113, 0.2310, 0.1102)
Cl (0.9113, 0.7690, 0.6102)
O (0.0694, 0.3162, 0.8673)
O (0.0694, 0.6838, 0.3673)
O (0.4306, 0.3162, 0.3673)
O (0.4306, 0.6838, 0.8673)
O (0.5694, 0.3162, 0.1327)
O (0.5694, 0.6838, 0.6327)
O (0.9306, 0.3162, 0.6327)
O (0.9306, 0.6838, 0.1327)

Largest 10 diffraction maxima, low angle first, 15 to 90 degrees two-theta:
d 5.797, I 29
d 4.883, I 42
d 4.063, I 45
d 3.853, I 58
d 3.208, I 22
d 2.931, I 100
d 2.849, I 26
d 2.678, I 62
d 2.032, I 42
d 1.926, I 23

=====

[3]
Diffraction record for NaMnPO4. The XRD peak list is calculated, not measured: it uses the GGA+U geometry in the Materials Project and Cu Ka.
Peak positions follow from Bragg's law for the DFT cell and can differ from measured ones.

Structural model:
Lattice parameters (Å, degrees): 9.2138 6.9806 5.1724 90.00 90.00 90.00
Fractional coordinates of all 28 atoms:
Na (0.1501, 0.2500, 0.0272)
Na (0.3499, 0.7500, 0.5272)
Na (0.6501, 0.2500, 0.4728)
Na (0.8499, 0.7500, 0.9728)
Mn (0.0000, 0.0000, 0.5000)
Mn (0.0000, 0.5000, 0.5000)
Mn (0.5000, 0.0000, 0.0000)
Mn (0.5000, 0.5000, 0.0000)
P (0.1760, 0.7500, 0.0295)
P (0.3240, 0.2500, 0.5295)
P (0.6760, 0.7500, 0.4705)
P (0.8240, 0.2500, 0.9705)
O (0.1202, 0.7500, 0.7437)
O (0.1216, 0.5687, 0.1703)
O (0.1216, 0.9313, 0.1703)
O (0.1529, 0.2500, 0.5424)
O (0.3471, 0.7500, 0.0424)
O (0.3784, 0.0687, 0.6703)
O (0.3784, 0.4313, 0.6703)
O (0.3798, 0.2500, 0.2437)
O (0.6202, 0.7500, 0.7563)
O (0.6216, 0.5687, 0.3297)
O (0.6216, 0.9313, 0.3297)
O (0.6529, 0.2500, 0.9576)
O (0.8471, 0.7500, 0.4576)
O (0.8784, 0.0687, 0.8297)
O (0.8784, 0.4313, 0.8297)
O (0.8798, 0.2500, 0.2563)

Largest 10 diffraction maxima, low angle first, 15 to 90 degrees two-theta:
d 4.510, I 26
d 3.788, I 37
d 2.782, I 84
d 2.760, I 94
d 2.641, I 100
d 2.586, I 34
d 1.923, I 29
d 1.894, I 48
d 1.745, I 25
d 1.543, I 25

=====

[4]
Diffraction record for LiFeBO3. The XRD peak list is calculated, not measured: it uses the GGA+U geometry in the Materials Project and Cu Ka.
Peak positions follow from Bragg's law for the DFT cell and can differ from measured ones.

Structural model:
Lattice parameters (Å, degrees): 5.7075 6.6703 7.4009 90.01 90.02 103.01
Fractional coordinates of all 24 atoms:
Li (0.1038, 0.2455, 0.2255)
Li (0.3962, 0.2542, 0.7243)
Li (0.6038, 0.7458, 0.2757)
Li (0.8962, 0.7545, 0.7745)
Fe (0.2314, 0.9101, 0.4881)
Fe (0.2683, 0.5895, 0.9890)
Fe (0.7317, 0.4105, 0.0110)
Fe (0.7686, 0.0899, 0.5119)
B (0.0661, 0.8243, 0.1719)
B (0.4335, 0.6756, 0.6720)
B (0.5665, 0.3244, 0.3280)
B (0.9339, 0.1757, 0.8281)
O (0.0333, 0.0658, 0.7007)
O (0.0684, 0.2885, 0.9644)
O (0.1931, 0.6817, 0.6839)
O (0.3062, 0.8174, 0.1860)
O (0.4297, 0.2112, 0.4629)
O (0.4684, 0.4347, 0.1999)
O (0.5316, 0.5653, 0.8001)
O (0.5703, 0.7888, 0.5371)
O (0.6938, 0.1826, 0.8140)
O (0.8069, 0.3183, 0.3161)
O (0.9316, 0.7115, 0.0356)
O (0.9667, 0.9342, 0.2993)

Largest 10 diffraction maxima, low angle first, 15 to 90 degrees two-theta:
d 4.883, I 100
d 3.822, I 31
d 3.700, I 12
d 2.614, I 25
d 2.424, I 22
d 2.306, I 11
d 2.223, I 13
d 2.011, I 13
d 1.937, I 10
d 1.850, I 17

=====

[5]
Diffraction record for MgV3O6. The XRD peak list is calculated, not measured: it uses the GGA+U geometry in the Materials Project and Cu Ka.
Peak positions follow from Bragg's law for the DFT cell and can differ from measured ones.

Structural model:
Lattice parameters (Å, degrees): 5.0945 5.1029 5.3675 104.01 104.71 112.75
Fractional coordinates of all 10 atoms:
Mg (0.0000, 0.0000, 0.0000)
V (0.4778, 0.5774, 0.4702)
V (0.6566, 0.3937, 0.9610)
V (0.8428, 0.2160, 0.4599)
O (0.0445, 0.4129, 0.2183)
O (0.2868, 0.3538, 0.6731)
O (0.4564, 0.2150, 0.2072)
O (0.6330, 0.9882, 0.6888)
O (0.7347, 0.7946, 0.2218)
O (0.8548, 0.5884, 0.7198)

Largest 10 diffraction maxima, low angle first, 15 to 90 degrees two-theta:
d 4.339, I 100
d 3.193, I 33
d 3.166, I 38
d 2.339, I 56
d 2.031, I 40
d 2.014, I 40
d 1.771, I 13
d 1.559, I 12
d 1.506, I 12
d 1.446, I 12

=====

[6]
Diffraction record for Li9Mn2Co5O16. The XRD peak list is calculated, not measured: it uses the GGA+U geometry in the Materials Project and Cu Ka.
Peak positions follow from Bragg's law for the DFT cell and can differ from measured ones.

Structural model:
Lattice parameters (Å, degrees): 5.9097 5.9097 10.1200 106.21 106.21 59.87
Fractional coordinates of all 32 atoms:
Li (0.0000, 0.0000, 0.0000)
Li (0.2459, 0.2459, 0.2443)
Li (0.2509, 0.2529, 0.7527)
Li (0.4901, 0.0068, 0.9981)
Li (0.4943, 0.0043, 0.4993)
Li (0.7471, 0.7491, 0.2473)
Li (0.7541, 0.7541, 0.7557)
Li (0.9932, 0.5099, 0.0019)
Li (0.9957, 0.5057, 0.5007)
Mn (0.2472, 0.7528, 0.2472)
Mn (0.2472, 0.7528, 0.7528)
Co (0.4937, 0.5063, 0.0000)
Co (0.5023, 0.4977, 0.5000)
Co (0.7522, 0.2450, 0.7584)
Co (0.7550, 0.2478, 0.2416)
Co (0.9989, 0.0011, 0.5000)
O (0.1239, 0.1062, 0.8631)
O (0.1249, 0.1029, 0.3677)
O (0.1405, 0.6337, 0.3731)
O (0.1526, 0.6246, 0.8717)
O (0.3663, 0.8595, 0.6269)
O (0.3671, 0.4027, 0.1329)
O (0.3728, 0.4092, 0.6298)
O (0.3754, 0.8474, 0.1283)
O (0.5908, 0.6272, 0.3702)
O (0.5973, 0.6329, 0.8671)
O (0.6278, 0.1441, 0.8706)
O (0.6468, 0.1320, 0.3802)
O (0.8559, 0.3722, 0.1294)
O (0.8680, 0.3532, 0.6198)
O (0.8938, 0.8761, 0.1369)
O (0.8971, 0.8751, 0.6323)

Largest 10 diffraction maxima, low angle first, 15 to 90 degrees two-theta:
d 4.848, I 100
d 2.511, I 27
d 2.489, I 13
d 2.402, I 8
d 2.090, I 56
d 2.069, I 27
d 1.914, I 13
d 1.613, I 10
d 1.477, I 15
d 1.464, I 15

=====

[7]
Diffraction record for CoPO4. The XRD peak list is calculated, not measured: it uses the GGA+U geometry in the Materials Project and Cu Ka.
Peak positions follow from Bragg's law for the DFT cell and can differ from measured ones.

Structural model:
Lattice parameters (Å, degrees): 5.3362 10.3545 8.7304 90.00 125.64 90.00
Fractional coordinates of all 24 atoms:
Co (0.1735, 0.1706, 0.4736)
Co (0.1735, 0.3294, 0.9736)
Co (0.8265, 0.6706, 0.0264)
Co (0.8265, 0.8294, 0.5264)
P (0.1037, 0.5982, 0.7975)
P (0.1037, 0.9018, 0.2975)
P (0.8963, 0.0982, 0.7025)
P (0.8963, 0.4018, 0.2025)
O (0.0530, 0.0499, 0.2814)
O (0.0530, 0.4501, 0.7814)
O (0.0991, 0.6518, 0.9623)
O (0.0991, 0.8482, 0.4623)
O (0.1499, 0.1597, 0.8938)
O (0.1499, 0.3403, 0.3938)
O (0.4210, 0.6301, 0.8379)
O (0.4210, 0.8699, 0.3379)
O (0.5790, 0.1301, 0.6621)
O (0.5790, 0.3699, 0.1621)
O (0.8501, 0.6597, 0.6062)
O (0.8501, 0.8403, 0.1062)
O (0.9009, 0.1519, 0.5377)
O (0.9009, 0.3482, 0.0377)
O (0.9470, 0.5499, 0.2186)
O (0.9470, 0.9501, 0.7186)

Largest 10 diffraction maxima, low angle first, 15 to 90 degrees two-theta:
d 5.853, I 100
d 4.337, I 65
d 4.186, I 47
d 4.000, I 21
d 3.886, I 67
d 3.104, I 43
d 2.926, I 25
d 2.666, I 28
d 2.588, I 20
d 2.535, I 18